Simulated PXRD pattern of LiTiNCl for Cu Kα, 1.54184 Å, from a DFT-relaxed cell (PBE, the Materials Project).
Neutral-atom scattering factors, no anomalous dispersion.

Peak list (10 most intense, 2θ from 10° to 80°, most intense first)
- d = 8.125 Å, 10.89 deg, intensity 100
- d = 2.484 Å, 36.17 deg, intensity 52
- d = 2.596 Å, 34.55 deg, intensity 46
- d = 3.668 Å, 24.26 deg, intensity 29
- d = 2.708 Å, 33.08 deg, intensity 24
- d = 2.195 Å, 41.12 deg, intensity 24
- d = 2.056 Å, 44.05 deg, intensity 23
- d = 1.611 Å, 57.16 deg, intensity 17
- d = 4.063 Å, 21.88 deg, intensity 14
- d = 1.687 Å, 54.37 deg, intensity 11

Cell and atoms:
a = 3.375 Å, b = 4.111 Å, c = 8.125 Å
α = 90.00°, β = 90.00°, γ = 90.00°
Atoms (fractional coordinates):
Li (0.250, 0.250, 0.165)
Li (0.750, 0.750, 0.835)
Ti (0.250, 0.750, 0.448)
Ti (0.750, 0.250, 0.552)
N (0.250, 0.250, 0.418)
N (0.750, 0.750, 0.582)
Cl (0.250, 0.250, 0.846)
Cl (0.750, 0.750, 0.154)

---

Simulated PXRD pattern of LiZr4N4Cl4 for Cu Kα, 1.54184 Å, from a DFT-relaxed cell (PBE, the Materials Project).
Neutral-atom scattering factors, no anomalous dispersion.

Peak list (10 most intense, 2θ from 10° to 80°, most intense first)
- d = 2.794 Å, 32.04 deg, intensity 100
- d = 3.114 Å, 28.67 deg, intensity 58
- d = 1.841 Å, 49.51 deg, intensity 41
- d = 2.526 Å, 35.54 deg, intensity 41
- d = 2.145 Å, 42.14 deg, intensity 29
- d = 1.464 Å, 63.55 deg, intensity 26
- d = 2.415 Å, 37.23 deg, intensity 23
- d = 1.537 Å, 60.20 deg, intensity 15
- d = 1.503 Å, 61.70 deg, intensity 12
- d = 1.808 Å, 50.47 deg, intensity 12

Cell and atoms:
a = 19.436 Å, b = 19.436 Å, c = 19.436 Å
α = 10.87°, β = 10.87°, γ = 10.87°
Atoms (fractional coordinates):
Li (0.000, 0.000, 0.000)
Zr (0.107, 0.107, 0.107)
Zr (0.397, 0.397, 0.397)
Zr (0.603, 0.603, 0.603)
Zr (0.893, 0.893, 0.893)
N (0.068, 0.068, 0.068)
N (0.433, 0.433, 0.433)
N (0.567, 0.567, 0.567)
N (0.932, 0.932, 0.932)
Cl (0.196, 0.196, 0.196)
Cl (0.309, 0.309, 0.309)
Cl (0.691, 0.691, 0.691)
Cl (0.804, 0.804, 0.804)

---

Simulated PXRD pattern of Na2LiPrCl6 for Cu Kα, 1.54184 Å, from a DFT-relaxed cell (PBE, the Materials Project).
Neutral-atom scattering factors, no anomalous dispersion.

Peak list (10 most intense, 2θ from 10° to 80°, most intense first)
- d = 5.254 Å, 16.87 deg, intensity 100
- d = 2.627 Å, 34.13 deg, intensity 94
- d = 6.067 Å, 14.60 deg, intensity 88
- d = 3.168 Å, 28.16 deg, intensity 74
- d = 1.858 Å, 49.04 deg, intensity 61
- d = 2.350 Å, 38.31 deg, intensity 46
- d = 2.411 Å, 37.30 deg, intensity 44
- d = 3.715 Å, 23.95 deg, intensity 42
- d = 2.022 Å, 44.82 deg, intensity 23
- d = 1.751 Å, 52.23 deg, intensity 22

Cell and atoms:
a = 7.430 Å, b = 7.430 Å, c = 7.430 Å
α = 60.00°, β = 60.00°, γ = 60.00°
Atoms (fractional coordinates):
Na (0.250, 0.250, 0.250)
Na (0.750, 0.750, 0.750)
Li (0.000, 0.000, 0.000)
Pr (0.500, 0.500, 0.500)
Cl (0.241, 0.241, 0.759)
Cl (0.241, 0.759, 0.241)
Cl (0.241, 0.759, 0.759)
Cl (0.759, 0.241, 0.241)
Cl (0.759, 0.241, 0.759)
Cl (0.759, 0.759, 0.241)

---

Simulated PXRD pattern of Na2LiSbCl6 for Cu Kα, 1.54184 Å, from a DFT-relaxed cell (PBE, the Materials Project).
Neutral-atom scattering factors, no anomalous dispersion.

Peak list (10 most intense, 2θ from 10° to 80°, most intense first)
- d = 2.579 Å, 34.78 deg, intensity 100
- d = 5.158 Å, 17.19 deg, intensity 92
- d = 5.956 Å, 14.87 deg, intensity 81
- d = 1.824 Å, 50.01 deg, intensity 64
- d = 3.111 Å, 28.70 deg, intensity 62
- d = 2.307 Å, 39.05 deg, intensity 41
- d = 2.367 Å, 38.02 deg, intensity 34
- d = 3.647 Å, 24.40 deg, intensity 34
- d = 2.978 Å, 30.00 deg, intensity 27
- d = 1.489 Å, 62.36 deg, intensity 21

Cell and atoms:
a = 7.295 Å, b = 7.295 Å, c = 7.295 Å
α = 60.00°, β = 60.00°, γ = 60.00°
Atoms (fractional coordinates):
Na (0.250, 0.250, 0.250)
Na (0.750, 0.750, 0.750)
Li (0.000, 0.000, 0.000)
Sb (0.500, 0.500, 0.500)
Cl (0.245, 0.245, 0.755)
Cl (0.245, 0.755, 0.245)
Cl (0.245, 0.755, 0.755)
Cl (0.755, 0.245, 0.245)
Cl (0.755, 0.245, 0.755)
Cl (0.755, 0.755, 0.245)

---

Simulated PXRD pattern of Na2LiScCl6 for Cu Kα, 1.54184 Å, from a DFT-relaxed cell (PBE, the Materials Project).
Neutral-atom scattering factors, no anomalous dispersion.

Peak list (10 most intense, 2θ from 10° to 80°, most intense first)
- d = 2.496 Å, 35.99 deg, intensity 100
- d = 2.882 Å, 31.03 deg, intensity 97
- d = 1.765 Å, 51.81 deg, intensity 62
- d = 4.991 Å, 17.77 deg, intensity 40
- d = 1.505 Å, 61.63 deg, intensity 31
- d = 5.763 Å, 15.37 deg, intensity 22
- d = 1.441 Å, 64.70 deg, intensity 20
- d = 2.232 Å, 40.41 deg, intensity 14
- d = 3.010 Å, 29.68 deg, intensity 11
- d = 1.248 Å, 76.32 deg, intensity 9

Cell and atoms:
a = 7.058 Å, b = 7.058 Å, c = 7.058 Å
α = 60.00°, β = 60.00°, γ = 60.00°
Atoms (fractional coordinates):
Na (0.250, 0.250, 0.250)
Na (0.750, 0.750, 0.750)
Li (0.000, 0.000, 0.000)
Sc (0.500, 0.500, 0.500)
Cl (0.252, 0.252, 0.748)
Cl (0.252, 0.748, 0.252)
Cl (0.252, 0.748, 0.748)
Cl (0.748, 0.252, 0.252)
Cl (0.748, 0.252, 0.748)
Cl (0.748, 0.748, 0.252)

---

Simulated PXRD pattern of Na2LiSmCl6 for Cu Kα, 1.54184 Å, from a DFT-relaxed cell (PBE, the Materials Project).
Neutral-atom scattering factors, no anomalous dispersion.

Peak list (10 most intense, 2θ from 10° to 80°, most intense first)
- d = 5.197 Å, 17.06 deg, intensity 100
- d = 6.001 Å, 14.76 deg, intensity 96
- d = 2.599 Å, 34.51 deg, intensity 90
- d = 3.134 Å, 28.48 deg, intensity 75
- d = 1.838 Å, 49.61 deg, intensity 59
- d = 2.324 Å, 38.74 deg, intensity 46
- d = 3.675 Å, 24.22 deg, intensity 43
- d = 2.385 Å, 37.72 deg, intensity 42
- d = 2.000 Å, 45.33 deg, intensity 24
- d = 1.757 Å, 52.05 deg, intensity 24

Cell and atoms:
a = 7.350 Å, b = 7.350 Å, c = 7.350 Å
α = 60.00°, β = 60.00°, γ = 60.00°
Atoms (fractional coordinates):
Na (0.250, 0.250, 0.250)
Na (0.750, 0.750, 0.750)
Li (0.000, 0.000, 0.000)
Sm (0.500, 0.500, 0.500)
Cl (0.243, 0.243, 0.757)
Cl (0.243, 0.757, 0.243)
Cl (0.243, 0.757, 0.757)
Cl (0.757, 0.243, 0.243)
Cl (0.757, 0.243, 0.757)
Cl (0.757, 0.757, 0.243)